Diffraction record for NdMgAl2Pd4. The powder diffraction line list is simulated, not measured: it uses the GGA-PBE geometry in Alexandria and Cu Kα (weighted mean of Kα1 and Kα2).
Intensities are scaled so that the largest is 100.

Most intense lines, 10° ≤ 2θ ≤ 90°, by angle:
- 2θ 24.65, rel. 28
- 2θ 27.34, rel. 19
- 2θ 29.21, rel. 33
- 2θ 33.73, rel. 53
- 2θ 36.30, rel. 76
- 2θ 41.65, rel. 100
- 2θ 56.42, rel. 21
- 2θ 68.83, rel. 25

Cell and atoms:
Cell lengths 9.124, 9.124, 9.124 Å; angles 27.50, 27.50, 27.50 degrees
Positions (direct):
Nd1 0.000 0.000 0.000
Mg1 0.500 0.500 0.500
Al1 0.237 0.237 0.237
Al2 0.763 0.763 0.763
Pd1 0.131 0.131 0.131
Pd2 0.402 0.402 0.402
Pd3 0.598 0.598 0.598
Pd4 0.869 0.869 0.869